# LaFeClO2
Calculated X-ray diffraction stick pattern, Cu Kα, 1.54184 Å. Input: a DFT-relaxed cell (GGA+U, Alexandria).
Neutral-atom scattering factors, no anomalous dispersion.

Most intense lines, 10° ≤ 2θ ≤ 90°, by angle:
| index | d_spacing | I (rel.) |
| --- | --- | --- |
| 0 0 1 | 6.918 | 58 |
| 1 0 -1 | 5.554 | 38 |
| 0 0 2 | 3.459 | 32 |
| 2 0 -1 | 3.321 | 41 |
| 2 0 0 | 3.270 | 41 |
| 0 1 1 | 3.200 | 29 |
| 1 1 0 | 3.160 | 73 |
| 1 1 1 | 2.743 | 65 |
| 2 0 1 | 2.691 | 28 |
| 1 1 -2 | 2.500 | 100 |
| 3 1 -2 | 1.827 | 33 |
| 0 2 0 | 1.805 | 27 |

Atomic structure:
Lattice parameters (Å, degrees): 6.7894 3.6096 7.1806 90.00 105.55 90.00
Space group P2_1/m (No. 11)
Symmetry-distinct sites (fractional):
1 La 0.1816 0.2500 0.2112 [2 per cell]
2 Fe 0.3391 0.2500 0.8598 [2 per cell]
3 Cl 0.2992 0.7500 0.5839 [2 per cell]
4 O 0.0469 0.2500 0.8523 [2 per cell]
5 O 0.3637 0.7500 0.0825 [2 per cell]